[1]
For Ac2NiPb3, DFT lattice parameters and positions (PBE) gives the computed powder diffraction line list in this record (Cu Kα, 1.54184 Å).

Most intense lines, 2θ from 15° to 90°, sorted by position:
28.5 deg, 3.131 Å, intensity 100
28.7 deg, 3.112 Å, intensity 41
36.9 deg, 2.439 Å, intensity 26
37.3 deg, 2.412 Å, intensity 35
38.4 deg, 2.344 Å, intensity 23
47.4 deg, 1.920 Å, intensity 21
54.3 deg, 1.690 Å, intensity 17
54.6 deg, 1.681 Å, intensity 24
61.4 deg, 1.511 Å, intensity 12
63.5 deg, 1.464 Å, intensity 15

Atomic structure:
a b c (Å): 4.6876 4.8773 8.3236
angles (deg): 90.00 90.00 90.00
Element x y z (fractional)
Ac  0.0000  0.0000  0.0000
Ac  0.0000  0.5000  0.4765
Ni  0.5000  0.0000  0.2712
Pb  0.5000  0.0000  0.5876
Pb  0.5000  0.5000  0.1771
Pb  0.5000  0.5000  0.8111



[2]
For Ac12Ni5Pb, DFT lattice parameters and positions (PBE) gives the computed powder diffraction line list in this record (Cu Kα, 1.54184 Å).

Most intense lines, 2θ from 15° to 90°, sorted by position:
25.8 deg, 3.448 Å, intensity 38
26.3 deg, 3.383 Å, intensity 36
27.2 deg, 3.284 Å, intensity 43
29.0 deg, 3.075 Å, intensity 63
31.2 deg, 2.871 Å, intensity 100
32.0 deg, 2.801 Å, intensity 36
48.8 deg, 1.866 Å, intensity 20
50.3 deg, 1.815 Å, intensity 20
52.7 deg, 1.736 Å, intensity 20
53.9 deg, 1.701 Å, intensity 26

Atomic structure:
a b c (Å): 9.2349 9.2349 9.2349
angles (deg): 111.84 109.42 107.19
Element x y z (fractional)
Ac  0.0099  0.1955  0.8144
Ac  0.1810  0.3092  0.4903
Ac  0.1810  0.6908  0.8718
Ac  0.3236  0.0103  0.6867
Ac  0.3236  0.6370  0.3133
Ac  0.3811  0.1955  0.1856
Ac  0.6189  0.8045  0.8144
Ac  0.6764  0.3630  0.6867
Ac  0.6764  0.9897  0.3133
Ac  0.8190  0.3092  0.1282
Ac  0.8190  0.6908  0.5097
Ac  0.9901  0.8045  0.1856
Ni  0.0000  0.0000  0.0000
Ni  0.1192  0.6192  0.5000
Ni  0.3748  0.0000  0.3748
Ni  0.6252  0.0000  0.6252
Ni  0.8808  0.3808  0.5000
Pb  0.5000  0.5000  0.0000



[3]
For Ac3Ni2Pb7, DFT lattice parameters and positions (PBE) gives the computed powder diffraction line list in this record (Cu Kα, 1.54184 Å).

Most intense lines, 2θ from 15° to 90°, sorted by position:
30.0 deg, 2.978 Å, intensity 100
30.8 deg, 2.899 Å, intensity 16
36.5 deg, 2.460 Å, intensity 21
36.7 deg, 2.448 Å, intensity 21
48.7 deg, 1.871 Å, intensity 9
52.8 deg, 1.735 Å, intensity 15
60.5 deg, 1.531 Å, intensity 9
61.8 deg, 1.502 Å, intensity 14
62.0 deg, 1.497 Å, intensity 13
62.4 deg, 1.489 Å, intensity 9

Atomic structure:
a b c (Å): 4.9197 4.8963 14.7009
angles (deg): 90.00 99.56 90.00
Element x y z (fractional)
Ac  0.0000  0.0000  0.0000
Ac  0.3144  0.5000  0.6297
Ac  0.6856  0.5000  0.3703
Ni  0.1257  0.0000  0.2540
Ni  0.8743  0.0000  0.7460
Pb  0.0899  0.5000  0.1799
Pb  0.2174  0.0000  0.4342
Pb  0.4105  0.0000  0.8196
Pb  0.5000  0.5000  0.0000
Pb  0.5895  0.0000  0.1804
Pb  0.7826  0.0000  0.5658
Pb  0.9101  0.5000  0.8201